(1)
For RbTl3Sb, a PBE-relaxed structure gives the calculated X-ray diffraction stick pattern in this record (Cu Kα, 1.54184 Å).
Lines closer than 0.1° are merged.

Main lines, most intense first (5° ≤ 2θ ≤ 70°):
2θ = 27.82°, intensity 100; 2θ = 31.88°, intensity 34; 2θ = 31.48°, intensity 30; 2θ = 12.20°, intensity 28; 2θ = 38.66°, intensity 26; 2θ = 32.84°, intensity 26; 2θ = 50.95°, intensity 23; 2θ = 31.15°, intensity 19; 2θ = 35.28°, intensity 19; 2θ = 33.29°, intensity 17; 2θ = 34.62°, intensity 16; 2θ = 51.61°, intensity 15

Cell and atoms:
a = 11.107 Å, b = 4.658 Å, c = 14.505 Å
α = 90.00°, β = 90.00°, γ = 90.00°
Fractional coordinates of all 20 atoms:
Rb: 0.197 0.250 0.001
Rb: 0.303 0.750 0.501
Rb: 0.697 0.250 0.499
Rb: 0.803 0.750 0.999
Tl: 0.064 0.250 0.601
Tl: 0.073 0.750 0.808
Tl: 0.164 0.750 0.213
Tl: 0.336 0.250 0.713
Tl: 0.427 0.250 0.308
Tl: 0.436 0.750 0.101
Tl: 0.564 0.250 0.899
Tl: 0.573 0.750 0.692
Tl: 0.664 0.750 0.287
Tl: 0.836 0.250 0.787
Tl: 0.927 0.250 0.192
Tl: 0.936 0.750 0.399
Sb: 0.123 0.250 0.357
Sb: 0.377 0.750 0.857
Sb: 0.623 0.250 0.143
Sb: 0.877 0.750 0.643



(2)
For RbTl2Sb, a PBE-relaxed structure gives the calculated X-ray diffraction stick pattern in this record (Cu Kα, 1.54184 Å).
Lines closer than 0.1° are merged.

Main lines, most intense first (5° ≤ 2θ ≤ 70°):
2θ = 27.42°, intensity 100; 2θ = 33.33°, intensity 72; 2θ = 28.43°, intensity 70; 2θ = 35.44°, intensity 69; 2θ = 33.71°, intensity 62; 2θ = 26.62°, intensity 56; 2θ = 31.18°, intensity 51; 2θ = 15.55°, intensity 36; 2θ = 32.65°, intensity 33; 2θ = 18.88°, intensity 30; 2θ = 49.11°, intensity 30; 2θ = 35.74°, intensity 29

Cell and atoms:
a = 18.778 Å, b = 9.018 Å, c = 7.169 Å
α = 90.00°, β = 90.00°, γ = 90.00°
Fractional coordinates of all 32 atoms:
Rb: 0.105 0.250 0.236
Rb: 0.141 0.750 0.024
Rb: 0.359 0.250 0.524
Rb: 0.395 0.750 0.736
Rb: 0.605 0.250 0.264
Rb: 0.641 0.750 0.476
Rb: 0.859 0.250 0.976
Rb: 0.895 0.750 0.764
Tl: 0.033 0.050 0.754
Tl: 0.033 0.450 0.754
Tl: 0.220 0.567 0.565
Tl: 0.220 0.933 0.565
Tl: 0.280 0.067 0.065
Tl: 0.280 0.433 0.065
Tl: 0.467 0.550 0.254
Tl: 0.467 0.950 0.254
Tl: 0.533 0.050 0.746
Tl: 0.533 0.450 0.746
Tl: 0.720 0.567 0.935
Tl: 0.720 0.933 0.935
Tl: 0.780 0.067 0.435
Tl: 0.780 0.433 0.435
Tl: 0.967 0.550 0.246
Tl: 0.967 0.950 0.246
Sb: 0.075 0.750 0.507
Sb: 0.171 0.250 0.722
Sb: 0.329 0.750 0.222
Sb: 0.425 0.250 0.007
Sb: 0.575 0.750 0.993
Sb: 0.671 0.250 0.778
Sb: 0.829 0.750 0.278
Sb: 0.925 0.250 0.493



(3)
For Rb2Tl9Sb4, a PBE-relaxed structure gives the calculated X-ray diffraction stick pattern in this record (Cu Kα, 1.54184 Å).
Lines closer than 0.1° are merged.

Main lines, most intense first (5° ≤ 2θ ≤ 70°):
2θ = 32.49°, intensity 100; 2θ = 28.90°, intensity 33; 2θ = 57.97°, intensity 29; 2θ = 46.60°, intensity 13; 2θ = 8.72°, intensity 13; 2θ = 55.79°, intensity 11; 2θ = 44.04°, intensity 11; 2θ = 68.06°, intensity 9; 2θ = 20.57°, intensity 9; 2θ = 36.28°, intensity 8; 2θ = 60.45°, intensity 7; 2θ = 53.28°, intensity 6

Cell and atoms:
a = 5.509 Å, b = 5.509 Å, c = 20.277 Å
α = 90.00°, β = 90.00°, γ = 120.00°
Fractional coordinates of all 15 atoms:
Rb: 0.333 0.667 0.259
Rb: 0.667 0.333 0.741
Tl: 0.000 0.000 0.000
Tl: 0.000 0.000 0.166
Tl: 0.000 0.000 0.354
Tl: 0.000 0.000 0.646
Tl: 0.000 0.000 0.834
Tl: 0.333 0.667 0.061
Tl: 0.333 0.667 0.451
Tl: 0.667 0.333 0.549
Tl: 0.667 0.333 0.939
Sb: 0.333 0.667 0.608
Sb: 0.333 0.667 0.890
Sb: 0.667 0.333 0.110
Sb: 0.667 0.333 0.392



(4)
For Rb2TlZnSb2, a PBE-relaxed structure gives the calculated X-ray diffraction stick pattern in this record (Cu Kα, 1.54184 Å).
Lines closer than 0.1° are merged.

Main lines, most intense first (5° ≤ 2θ ≤ 70°):
2θ = 10.66°, intensity 100; 2θ = 35.17°, intensity 73; 2θ = 27.71°, intensity 62; 2θ = 33.04°, intensity 55; 2θ = 32.75°, intensity 53; 2θ = 26.77°, intensity 26; 2θ = 27.12°, intensity 24; 2θ = 47.30°, intensity 20; 2θ = 36.85°, intensity 20; 2θ = 61.94°, intensity 17; 2θ = 28.29°, intensity 16; 2θ = 45.58°, intensity 16

Cell and atoms:
a = 9.741 Å, b = 9.741 Å, c = 9.741 Å
α = 136.16°, β = 63.19°, γ = 136.86°
Fractional coordinates of all 12 atoms:
Rb: 0.168 0.239 0.407
Rb: 0.332 0.739 0.071
Rb: 0.668 0.261 0.929
Rb: 0.832 0.761 0.593
Tl: 0.250 0.250 0.000
Tl: 0.750 0.750 0.000
Zn: 0.250 0.750 0.500
Zn: 0.750 0.250 0.500
Sb: 0.095 0.715 0.810
Sb: 0.405 0.215 0.620
Sb: 0.595 0.785 0.380
Sb: 0.905 0.285 0.190



(5)
For RbV2Sb2, a PBE-relaxed structure gives the calculated X-ray diffraction stick pattern in this record (Cu Kα, 1.54184 Å).
Lines closer than 0.1° are merged.

Main lines, most intense first (5° ≤ 2θ ≤ 70°):
2θ = 27.22°, intensity 100; 2θ = 53.03°, intensity 31; 2θ = 45.49°, intensity 30; 2θ = 44.59°, intensity 25; 2θ = 38.08°, intensity 23; 2θ = 31.12°, intensity 20; 2θ = 10.65°, intensity 13; 2θ = 32.98°, intensity 12; 2θ = 34.88°, intensity 11; 2θ = 64.11°, intensity 10; 2θ = 43.58°, intensity 8; 2θ = 65.98°, intensity 8

Cell and atoms:
a = 8.790 Å, b = 8.790 Å, c = 8.790 Å
α = 153.27°, β = 153.27°, γ = 38.17°
Fractional coordinates of all 5 atoms:
Rb: 0.000 0.000 0.000
V: 0.250 0.750 0.500
V: 0.750 0.250 0.500
Sb: 0.357 0.357 0.000
Sb: 0.643 0.643 0.000



(6)
For Rb3ZnSb, a PBE-relaxed structure gives the calculated X-ray diffraction stick pattern in this record (Cu Kα, 1.54184 Å).
Lines closer than 0.1° are merged.

Main lines, most intense first (5° ≤ 2θ ≤ 70°):
2θ = 22.86°, intensity 100; 2θ = 24.68°, intensity 86; 2θ = 30.06°, intensity 69; 2θ = 23.88°, intensity 61; 2θ = 38.10°, intensity 57; 2θ = 11.65°, intensity 44; 2θ = 23.43°, intensity 40; 2θ = 11.37°, intensity 37; 2θ = 28.94°, intensity 37; 2θ = 37.83°, intensity 28; 2θ = 24.82°, intensity 23; 2θ = 50.62°, intensity 23

Cell and atoms:
a = 9.799 Å, b = 9.799 Å, c = 9.799 Å
α = 74.89°, β = 127.28°, γ = 130.91°
Fractional coordinates of all 10 atoms:
Rb: 0.250 0.027 0.277
Rb: 0.250 0.473 0.724
Rb: 0.643 0.004 0.138
Rb: 0.750 0.527 0.276
Rb: 0.750 0.973 0.723
Rb: 0.866 0.504 0.862
Zn: 0.254 0.253 0.501
Zn: 0.752 0.753 0.499
Sb: 0.189 0.002 0.688
Sb: 0.314 0.502 0.312



(7)
For Rb3ZnSb, a PBE-relaxed structure gives the calculated X-ray diffraction stick pattern in this record (Cu Kα, 1.54184 Å).
Lines closer than 0.1° are merged.

Main lines, most intense first (5° ≤ 2θ ≤ 70°):
2θ = 24.87°, intensity 100; 2θ = 35.46°, intensity 79; 2θ = 12.36°, intensity 46; 2θ = 21.50°, intensity 41; 2θ = 57.57°, intensity 37; 2θ = 43.80°, intensity 29; 2θ = 63.67°, intensity 28; 2θ = 27.86°, intensity 27; 2θ = 17.52°, intensity 25; 2θ = 41.84°, intensity 21; 2θ = 37.69°, intensity 15; 2θ = 51.02°, intensity 14

Cell and atoms:
a = 7.160 Å, b = 7.160 Å, c = 7.160 Å
α = 90.00°, β = 90.00°, γ = 90.00°
Fractional coordinates of all 5 atoms:
Rb: 0.000 0.000 0.500
Rb: 0.000 0.500 0.000
Rb: 0.500 0.000 0.000
Zn: 0.500 0.500 0.500
Sb: 0.000 0.000 0.000



(8)
For RbSc5Se8, a PBE-relaxed structure gives the calculated X-ray diffraction stick pattern in this record (Cu Kα, 1.54184 Å).
Lines closer than 0.1° are merged.

Main lines, most intense first (5° ≤ 2θ ≤ 70°):
2θ = 29.53°, intensity 100; 2θ = 30.79°, intensity 69; 2θ = 47.00°, intensity 53; 2θ = 29.36°, intensity 47; 2θ = 28.58°, intensity 32; 2θ = 36.75°, intensity 31; 2θ = 46.55°, intensity 29; 2θ = 31.47°, intensity 28; 2θ = 42.09°, intensity 20; 2θ = 52.81°, intensity 19; 2θ = 50.40°, intensity 19; 2θ = 37.57°, intensity 17

Cell and atoms:
a = 10.207 Å, b = 10.207 Å, c = 9.683 Å
α = 104.30°, β = 104.30°, γ = 22.04°
Fractional coordinates of all 14 atoms:
Rb: 0.000 0.000 0.000
Sc: 0.156 0.156 0.468
Sc: 0.205 0.205 0.843
Sc: 0.500 0.500 0.500
Sc: 0.795 0.795 0.157
Sc: 0.844 0.844 0.532
Se: 0.077 0.077 0.656
Se: 0.264 0.264 0.345
Se: 0.333 0.333 0.007
Se: 0.416 0.416 0.682
Se: 0.584 0.584 0.318
Se: 0.667 0.667 0.993
Se: 0.736 0.736 0.655
Se: 0.923 0.923 0.344